Simulated X-ray powder pattern of Li2Ga5Ru2 for Cu Kα, 1.54184 Å, from DFT lattice parameters and positions (PBE).

The 10 most intense peaks (2θ from 10° to 80°), low angle first:
d/Å, intensity
4.586, 100
3.839, 46
2.559, 35
2.398, 18
2.293, 75
2.235, 26
1.990, 24
1.969, 28
1.708, 40
1.571, 15

Structure:
a = 7.678 Å, b = 4.869 Å, c = 4.869 Å
α = 109.62°, β = 90.00°, γ = 90.00°
Element x y z (fractional)
Li  0.000  0.000  0.000
Li  0.500  0.004  0.004
Ga  0.203  0.000  0.500
Ga  0.203  0.500  0.000
Ga  0.500  0.503  0.503
Ga  0.797  0.000  0.500
Ga  0.797  0.500  0.000
Ru  0.195  0.500  0.500
Ru  0.805  0.500  0.500

Simulated X-ray powder pattern of Ag3Ir for Cu Kα, 1.54184 Å, from DFT lattice parameters and positions (PBE).

The 10 most intense peaks (2θ from 10° to 80°), low angle first:
d/Å, intensity
2.420, 55
2.393, 63
2.349, 32
2.216, 100
2.162, 43
1.968, 29
1.930, 17
1.413, 21
1.345, 19
1.217, 25

Structure:
a = 4.846 Å, b = 9.571 Å, c = 5.839 Å
α = 90.00°, β = 90.00°, γ = 90.00°
Element x y z (fractional)
Ag  0.090  0.250  0.134
Ag  0.243  0.003  0.383
Ag  0.243  0.497  0.383
Ag  0.257  0.503  0.883
Ag  0.257  0.997  0.883
Ag  0.410  0.750  0.634
Ag  0.590  0.250  0.366
Ag  0.743  0.003  0.117
Ag  0.743  0.497  0.117
Ag  0.757  0.503  0.617
Ag  0.757  0.997  0.617
Ag  0.910  0.750  0.866
Ir  0.088  0.250  0.663
Ir  0.412  0.750  0.163
Ir  0.588  0.250  0.837
Ir  0.912  0.750  0.337

Simulated X-ray powder pattern of TbSm10Sc4 for Cu Kα, 1.54184 Å, from DFT lattice parameters and positions (PBE).

The 10 most intense peaks (2θ from 10° to 80°), low angle first:
d/Å, intensity
6.638, 24
4.140, 29
3.662, 18
3.512, 74
2.887, 26
2.678, 100
2.483, 53
2.412, 35
2.129, 24
1.468, 27

Structure:
a = 8.877 Å, b = 8.877 Å, c = 8.877 Å
α = 102.56°, β = 102.56°, γ = 124.40°
Element x y z (fractional)
Tb  0.000  0.000  0.000
Sm  0.034  0.692  0.112
Sm  0.079  0.966  0.658
Sm  0.250  0.750  0.500
Sm  0.308  0.421  0.342
Sm  0.421  0.079  0.112
Sm  0.579  0.921  0.888
Sm  0.692  0.579  0.658
Sm  0.750  0.250  0.500
Sm  0.921  0.034  0.342
Sm  0.966  0.308  0.888
Sc  0.286  0.436  0.721
Sc  0.436  0.714  0.150
Sc  0.564  0.286  0.850
Sc  0.714  0.564  0.279

Simulated X-ray powder pattern of Sm5Rh4 for Cu Kα, 1.54184 Å, from DFT lattice parameters and positions (PBE).

The 10 most intense peaks (2θ from 10° to 80°), low angle first:
d/Å, intensity
2.829, 100
2.733, 53
2.685, 57
2.634, 83
2.387, 28
2.347, 48
2.003, 38
1.984, 40
1.455, 26
1.410, 24

Structure:
a = 5.824 Å, b = 5.824 Å, c = 10.567 Å
α = 107.47°, β = 107.47°, γ = 39.84°
Element x y z (fractional)
Sm  0.000  0.000  0.000
Sm  0.111  0.111  0.397
Sm  0.227  0.227  0.804
Sm  0.773  0.773  0.196
Sm  0.889  0.889  0.603
Rh  0.382  0.382  0.392
Rh  0.488  0.488  0.182
Rh  0.512  0.512  0.818
Rh  0.618  0.618  0.608

Simulated X-ray powder pattern of Ca2Te3 for Cu Kα, 1.54184 Å, from DFT lattice parameters and positions (PBE).

The 10 most intense peaks (2θ from 10° to 80°), low angle first:
d/Å, intensity
4.132, 54
3.041, 58
2.954, 100
2.861, 50
2.737, 30
2.635, 30
2.488, 18
2.094, 18
1.907, 17
1.318, 15

Structure:
a = 9.435 Å, b = 6.088 Å, c = 9.530 Å
α = 70.43°, β = 37.44°, γ = 72.12°
Element x y z (fractional)
Ca  0.286  0.714  0.317
Ca  0.567  0.933  0.536
Ca  0.714  0.286  0.683
Ca  0.933  0.567  0.964
Te  0.107  0.721  0.111
Te  0.139  0.190  0.143
Te  0.190  0.139  0.529
Te  0.486  0.486  0.514
Te  0.721  0.107  0.060
Te  0.736  0.736  0.764